No. 1
Simulated X-ray powder pattern
Compound: Pm19Y4Er6
Radiation: CuKα
Structure: DFT lattice parameters and positions (GGA-PBE)

Crystal structure
Unit cell a=12.646 b=12.646 c=12.646 alpha=90.00 beta=90.00 gamma=90.00
Space group I23 (No. 197)
Symmetry-distinct sites (fractional):
Pm1 0.000 0.000 0.000 x2
Pm2 0.000 0.000 0.261 x12
Pm3 0.062 0.262 0.280 x24
Y1 0.180 0.180 0.820 x8
Er1 0.000 0.375 0.500 x12

Top 10 peaks for 2θ = 10–80°, low angle first:
26.37°, I = 79.4, (3 1 2); 28.23°, I = 81.0, (4 0 0); 29.98°, I = 100.0, (4 1 1); 34.75°, I = 51.3, (4 2 2); 36.22°, I = 97.8, (4 1 3); 41.64°, I = 27.6, (4 3 3); 46.54°, I = 29.1, (5 4 1); 53.23°, I = 27.4, (6 3 3); 59.37°, I = 37.4, (7 1 4); 60.36°, I = 27.3, (8 0 2)

No. 2
Simulated X-ray powder pattern
Compound: Mg2H2Pd5
Radiation: CuKα
Structure: DFT lattice parameters and positions (GGA-PBE)

Crystal structure
Unit cell a=4.009 b=4.009 c=7.572 alpha=90.00 beta=90.00 gamma=90.00
Space group P4/mmm (No. 123)
Symmetry-distinct sites (fractional):
Mg1 0.000 0.000 0.000 x1
Mg2 0.000 0.000 0.500 x1
H1 0.500 0.500 0.236 x2
Pd1 0.000 0.500 0.234 x4
Pd2 0.500 0.500 0.500 x1

Top 10 peaks for 2θ = 10–80°, low angle first:
23.50°, I = 21.4, (0 0 2); 25.14°, I = 11.8, (1 0 1); 31.56°, I = 20.4, (1 1 0); 33.76°, I = 10.6, (1 1 1); 39.72°, I = 100.0, (1 1 2); 45.24°, I = 35.9, (2 0 0); 48.07°, I = 13.3, (0 0 4); 65.90°, I = 12.1, (2 2 0); 68.13°, I = 18.1, (2 0 4); 79.78°, I = 25.0, (3 1 2)

No. 3
Simulated X-ray powder pattern
Compound: Pr2AgPd5
Radiation: CuKα
Structure: DFT lattice parameters and positions (GGA-PBE)

Crystal structure
Unit cell a=6.099 b=6.099 c=8.252 alpha=90.00 beta=90.00 gamma=90.00
Space group I4/mmm (No. 139)
Symmetry-distinct sites (fractional):
Pr1 0.000 0.500 0.000 x4
Ag1 0.000 0.000 0.000 x2
Pd1 0.000 0.000 0.500 x2
Pd2 0.250 0.250 0.250 x8

Top 10 peaks for 2θ = 10–80°, low angle first:
20.60°, I = 0.9, (1 1 0); 29.97°, I = 0.7, (1 1 2); 36.65°, I = 100.0, (2 0 2); 41.90°, I = 34.2, (2 2 0); 43.88°, I = 15.0, (0 0 4); 60.75°, I = 11.2, (4 0 0); 62.29°, I = 20.7, (2 2 4); 73.08°, I = 25.6, (4 2 2); 75.89°, I = 11.5, (2 0 6); 77.91°, I = 10.7, (4 0 4)